[1]
Calculated powder XRD pattern of K2Al3CdAu12 for Cu Kα (λ = 1.5418 Å), from a DFT-relaxed cell (PBE, Alexandria).
Lines closer than 0.1° are merged.

Crystal structure
Cell lengths 9.1382, 9.1382, 19.1790 Å; angles 90.00, 90.00, 120.00 degrees
Space group R-3m (No. 166, hexagonal axes)
Symmetry-distinct sites (fractional):
K: 0.0000 0.0000 0.0946
Al: 0.0000 0.5000 0.0000
Cd: 0.0000 0.0000 0.5000
Au: 0.0030 0.5015 0.1336
Au: 0.0995 0.5497 0.3886

Most intense lines, 10 to 80 degrees two-theta, low angle first:
d_spacing, two_theta, I_rel
7.316, 12.10, 27
4.101, 21.67, 68
3.052, 29.26, 100
2.855, 31.33, 30
2.439, 36.86, 31
2.285, 39.44, 41
2.050, 44.17, 42
2.020, 44.86, 28

[2]
Calculated powder XRD pattern of Pm2AlCdAu4 for Cu Kα (λ = 1.5418 Å), from a DFT-relaxed cell (PBE, Alexandria).
Lines closer than 0.1° are merged.

Crystal structure
Cell lengths 5.0298, 5.0298, 23.7372 Å; angles 90.00, 90.00, 120.00 degrees
Space group R-3m (No. 166, hexagonal axes)
Symmetry-distinct sites (fractional):
Pm: 0.0000 0.0000 0.2473
Al: 0.0000 0.0000 0.0000
Cd: 0.0000 0.0000 0.5000
Au: 0.0000 0.0000 0.1136
Au: 0.0000 0.0000 0.3730

Most intense lines, 10 to 80 degrees two-theta, low angle first:
d_spacing, two_theta, I_rel
3.511, 25.36, 18
2.515, 35.70, 100
2.452, 36.65, 83
1.756, 52.09, 30
1.452, 64.14, 18
1.440, 64.76, 32
1.404, 66.59, 10
1.257, 75.63, 11

[3]
Calculated powder XRD pattern of AlZnCdAu2 for Cu Kα (λ = 1.5418 Å), from a DFT-relaxed cell (PBE, Alexandria).
Lines closer than 0.1° are merged.

Crystal structure
Cell lengths 4.5943, 4.5943, 5.3332 Å; angles 90.00, 90.00, 120.00 degrees
Space group P3m1 (No. 156)
Symmetry-distinct sites (fractional):
Al: 0.0000 0.0000 0.0000
Zn: 0.6667 0.3333 0.3390
Cd: 0.3333 0.6667 0.6669
Au: 0.0000 0.0000 0.4740
Au: 0.6667 0.3333 0.8609

Most intense lines, 10 to 80 degrees two-theta, low angle first:
d_spacing, two_theta, I_rel
5.333, 16.62, 32
3.979, 22.34, 21
3.189, 27.98, 86
2.297, 39.22, 100
2.215, 40.73, 84
1.595, 57.83, 30
1.326, 71.09, 25
1.310, 72.11, 31